Record 1
Structure and simulated powder diffractogram of Nd7Br3O18 (a cell relaxed with PBE; Cu Ka).
Neutral-atom scattering factors, no anomalous dispersion.

Most intense lines, 2θ from 15° to 90°, sorted by position:
2θ (°)	Rel. int.
17.2	45
26.7	100
28.6	32
30.1	30
40.6	18
41.1	24
44.9	15
45.5	14
46.5	16
50.9	20

Structural model:
```
Nd7Br3O18
1.0
15.7262 0.0000 0.0000
-7.8631 13.6193 0.0000
0.0000 0.0000 4.3890
Nd Br O
14 6 36
Direct
0.1100 0.8485 0.2500
0.1258 0.6560 0.7500
0.1515 0.2615 0.2500
0.2615 0.1100 0.7500
0.3333 0.6667 0.2500
0.3440 0.4698 0.7500
0.4698 0.1258 0.2500
0.5302 0.8742 0.7500
0.6560 0.5302 0.2500
0.6667 0.3333 0.7500
0.7385 0.8900 0.2500
0.8485 0.7385 0.7500
0.8742 0.3440 0.2500
0.8900 0.1515 0.7500
0.0591 0.4422 0.7500
0.3831 0.9409 0.7500
0.4422 0.3831 0.2500
0.5578 0.6169 0.7500
0.6169 0.0591 0.2500
0.9409 0.5578 0.2500
0.0302 0.7516 0.7500
0.0298 0.8423 0.7500
0.0698 0.2560 0.7500
0.1577 0.1875 0.7500
0.1661 0.6412 0.2500
0.1775 0.7409 0.2500
0.1862 0.9302 0.7500
0.1875 0.0298 0.2500
0.2484 0.2787 0.7500
0.2560 0.1862 0.2500
0.2591 0.4366 0.2500
0.2684 0.5645 0.7500
0.2787 0.0302 0.2500
0.2961 0.7316 0.7500
0.3588 0.5249 0.2500
0.4355 0.7039 0.7500
0.4366 0.1775 0.7500
0.4751 0.8339 0.2500
0.5249 0.1661 0.7500
0.5634 0.8225 0.2500
0.5645 0.2961 0.2500
0.6412 0.4751 0.7500
0.7039 0.2684 0.2500
0.7213 0.9698 0.7500
0.7316 0.4355 0.2500
0.7409 0.5634 0.7500
0.7440 0.8138 0.7500
0.7516 0.7213 0.2500
0.8125 0.9702 0.7500
0.8138 0.0698 0.2500
0.8225 0.2591 0.7500
0.8339 0.3588 0.7500
0.8423 0.8125 0.2500
0.9302 0.7440 0.2500
0.9702 0.1577 0.2500
0.9698 0.2484 0.2500
```

Record 2
Structure and simulated powder diffractogram of ErMgTl (a cell relaxed with PBE; Cu Ka).
Neutral-atom scattering factors, no anomalous dispersion.

Most intense lines, 2θ from 15° to 90°, sorted by position:
2θ (°)	Rel. int.
23.5	41
23.6	25
30.6	57
33.6	100
39.2	26
41.3	59
48.0	15
54.2	16
58.2	21
65.2	30

Structural model:
```
ErMgTl
1.0
7.5776 0.0000 0.0000
-3.7888 6.5624 0.0000
0.0000 0.0000 4.5956
Er Mg Tl
3 3 3
Direct
0.0000 0.5802 0.0000
0.4198 0.4198 0.0000
0.5802 0.0000 0.0000
0.0000 0.2473 0.5000
0.2473 0.0000 0.5000
0.7527 0.7527 0.5000
0.0000 0.0000 0.0000
0.3333 0.6667 0.5000
0.6667 0.3333 0.5000
```

Record 3
Structure and simulated powder diffractogram of CaIrO3 (a cell relaxed with PBE; Cu Ka).
Neutral-atom scattering factors, no anomalous dispersion.

Most intense lines, 2θ from 15° to 90°, sorted by position:
2θ (°)	Rel. int.
25.3	100
28.4	43
32.0	23
32.5	51
35.1	52
41.2	98
43.2	23
46.2	27
55.2	45
67.0	24

Structural model:
```
CaIrO3
1.0
1.8327 -6.2811 0.0000
1.8327 6.2811 0.0000
0.0000 0.0000 5.5917
Ca Ir O
2 2 6
Direct
0.1984 0.8016 0.7500
0.8016 0.1984 0.2500
0.5000 0.5000 0.0000
0.5000 0.5000 0.5000
0.0046 0.9954 0.7500
0.3486 0.6514 0.0017
0.3486 0.6514 0.4983
0.6514 0.3486 0.5017
0.6514 0.3486 0.9983
0.9954 0.0046 0.2500
```

Record 4
Structure and simulated powder diffractogram of KMgPO5 (a cell relaxed with PBE; Cu Ka).
Neutral-atom scattering factors, no anomalous dispersion.

Most intense lines, 2θ from 15° to 90°, sorted by position:
2θ (°)	Rel. int.
19.4	35
20.9	59
26.6	18
32.3	18
32.6	100
32.8	47
36.4	33
37.2	20
43.7	29
51.1	20

Structural model:
```
KMgPO5
1.0
5.4598 0.0000 0.0000
0.0000 8.3203 0.0000
0.0000 0.0000 4.9382
K Mg P O
2 2 2 10
Direct
0.0000 0.0368 0.0000
0.5000 0.9632 0.5000
0.0000 0.4968 0.1462
0.5000 0.5032 0.6462
0.0000 0.7103 0.5756
0.5000 0.2897 0.0756
0.0000 0.2954 0.4257
0.0000 0.6866 0.8872
0.0000 0.8902 0.5087
0.2246 0.6212 0.4453
0.2754 0.3788 0.9453
0.5000 0.1098 0.0087
0.5000 0.3134 0.3872
0.5000 0.7046 0.9257
0.7246 0.3788 0.9453
0.7754 0.6212 0.4453
```

Record 5
Structure and simulated powder diffractogram of Tm2ZnPd (a cell relaxed with PBE; Cu Ka).
Neutral-atom scattering factors, no anomalous dispersion.

Most intense lines, 2θ from 15° to 90°, sorted by position:
2θ (°)	Rel. int.
22.1	1
25.6	11
36.5	100
45.1	3
52.5	18
59.3	5
65.6	36
77.5	11
83.2	2
88.8	16

Structural model:
```
Tm2ZnPd
1.0
0.0000 3.4840 3.4840
3.4840 0.0000 3.4840
3.4840 3.4840 0.0000
Tm Zn Pd
2 1 1
Direct
0.2500 0.2500 0.2500
0.7500 0.7500 0.7500
0.0000 0.0000 0.0000
0.5000 0.5000 0.5000
```

Record 6
Structure and simulated powder diffractogram of Ba5Li2Te3O15 (a cell relaxed with PBE; Cu Ka).
Neutral-atom scattering factors, no anomalous dispersion.

Most intense lines, 2θ from 15° to 90°, sorted by position:
2θ (°)	Rel. int.
18.4	27
30.2	50
30.4	100
37.4	17
43.3	32
43.7	16
53.8	39
54.0	20
63.2	19
71.4	17

Structural model:
```
Ba5Li2Te3O15
1.0
-6.6126 6.6126 4.1439
6.6126 -6.6126 4.1439
6.6126 6.6126 -4.1439
Ba Li Te O
10 4 6 30
Direct
0.0431 0.3504 0.8976
0.1456 0.0431 0.6928
0.2500 0.7500 0.5000
0.3504 0.4528 0.3072
0.4528 0.1456 0.1024
0.5472 0.8544 0.8976
0.6496 0.5472 0.6928
0.7500 0.2500 0.5000
0.8544 0.9569 0.3072
0.9569 0.6496 0.1024
0.0986 0.6988 0.7974
0.3012 0.0986 0.3998
0.6988 0.9014 0.6002
0.9014 0.3012 0.2026
0.0000 0.0000 0.0000
0.1921 0.3983 0.5904
0.3983 0.8079 0.2062
0.5000 0.5000 0.0000
0.6017 0.1921 0.7938
0.8079 0.6017 0.4096
0.0272 0.8300 0.3939
0.0466 0.8629 0.9094
0.0552 0.3529 0.4082
0.1371 0.0466 0.1837
0.1580 0.5401 0.6981
0.1700 0.5640 0.1972
0.2497 0.2635 0.5133
0.2569 0.2569 0.0000
0.2635 0.7503 0.0138
0.3529 0.9448 0.2977
0.3611 0.4536 0.8147
0.3667 0.9728 0.8028
0.4360 0.6333 0.6061
0.4536 0.6389 0.0925
0.4599 0.1580 0.6179
0.5401 0.8420 0.3821
0.5464 0.3611 0.9075
0.5640 0.3667 0.3939
0.6333 0.0272 0.1972
0.6389 0.5464 0.1853
0.6471 0.0552 0.7023
0.7365 0.2497 0.9862
0.7431 0.7431 0.0000
0.7503 0.7365 0.4867
0.8300 0.4360 0.8028
0.8420 0.4599 0.3019
0.8629 0.9534 0.8163
0.9448 0.6471 0.5918
0.9534 0.1371 0.0906
0.9728 0.1700 0.6061
```

Record 7
Structure and simulated powder diffractogram of SrCaTiNbO6 (a cell relaxed with PBE; Cu Ka).
Neutral-atom scattering factors, no anomalous dispersion.

Most intense lines, 2θ from 15° to 90°, sorted by position:
2θ (°)	Rel. int.
19.2	16
22.3	5
31.7	100
37.3	10
45.4	41
49.7	5
56.4	38
66.2	24
75.2	16
83.9	8

Structural model:
```
SrCaTiNbO6
1.0
0.0000 3.9948 3.9948
3.9948 0.0000 3.9948
3.9948 3.9948 0.0000
Sr Ca Ti Nb O
1 1 1 1 6
Direct
0.0000 0.0000 0.0000
0.5000 0.5000 0.5000
0.2500 0.2500 0.2500
0.7500 0.7500 0.7500
0.0027 0.0027 0.4973
0.0027 0.4973 0.0027
0.0027 0.4973 0.4973
0.4973 0.0027 0.0027
0.4973 0.0027 0.4973
0.4973 0.4973 0.0027
```

Record 8
Structure and simulated powder diffractogram of Ca3Fe3N5 (a cell relaxed with PBE; Cu Ka).
Neutral-atom scattering factors, no anomalous dispersion.

Most intense lines, 2θ from 15° to 90°, sorted by position:
2θ (°)	Rel. int.
17.0	31
31.0	42
33.7	75
34.5	96
34.7	42
35.0	100
35.1	34
39.7	35
41.2	34
44.4	32

Structural model:
```
Ca3Fe3N5
1.0
5.4726 0.0000 0.0000
-0.6115 6.7400 0.0000
-1.9923 -2.8516 7.5292
Ca Fe N
6 6 10
Direct
0.1594 0.1702 0.2025
0.1619 0.3664 0.8753
0.3200 0.9173 0.6155
0.6800 0.0827 0.3845
0.8381 0.6336 0.1247
0.8406 0.8298 0.7975
0.1819 0.4491 0.5663
0.3986 0.6148 0.2955
0.4080 0.8217 0.9741
0.5920 0.1783 0.0259
0.6014 0.3852 0.7045
0.8181 0.5509 0.4337
0.1333 0.5614 0.3844
0.2475 0.0360 0.9096
0.3065 0.7260 0.1253
0.3208 0.2032 0.5116
0.4299 0.6158 0.7768
0.5701 0.3842 0.2232
0.6792 0.7968 0.4884
0.6935 0.2740 0.8747
0.7525 0.9640 0.0904
0.8667 0.4386 0.6156
```